1.
Calculated X-ray diffraction stick pattern
Compound: Hf5ZnSn2
Radiation: CuKα
Structure: the PBE geometry in Alexandria
Neutral-atom scattering factors, no anomalous dispersion.

Largest 12 diffraction maxima, in order of falling intensity, 15 to 90 degrees two-theta:
two_theta  intensity
37.61  100
35.60  78
40.26  75
37.47  54
32.23  36
19.58  26
73.99  25
39.56  24
25.84  21
50.24  21
67.70  18
55.63  18

Atomic structure:
```
data_Hf5ZnSn2
_chemical_formula_sum 'Hf10 Zn2 Sn4'
_space_group_name_H-M_alt 'P 1'
_space_group_IT_number 1
_cell_length_a 7.301
_cell_length_b 7.301
_cell_length_c 12.138
_cell_angle_alpha 90.00
_cell_angle_beta 90.00
_cell_angle_gamma 141.61
loop_
_space_group_symop_operation_xyz
'x,y,z'
loop_
_atom_site_label
_atom_site_type_symbol
_atom_site_fract_x
_atom_site_fract_y
_atom_site_fract_z
Hf1 Hf 0.109 0.891 0.623
Hf2 Hf 0.109 0.891 0.877
Hf3 Hf 0.304 0.696 0.250
Hf4 Hf 0.310 0.690 0.512
Hf5 Hf 0.310 0.690 0.988
Hf6 Hf 0.690 0.310 0.012
Hf7 Hf 0.690 0.310 0.488
Hf8 Hf 0.696 0.304 0.750
Hf9 Hf 0.891 0.109 0.123
Hf10 Hf 0.891 0.109 0.377
Zn1 Zn 0.307 0.693 0.750
Zn2 Zn 0.693 0.307 0.250
Sn1 Sn 0.106 0.894 0.126
Sn2 Sn 0.106 0.894 0.374
Sn3 Sn 0.894 0.106 0.626
Sn4 Sn 0.894 0.106 0.874
```

=====

2.
Calculated X-ray diffraction stick pattern
Compound: Pm5Ge3F
Radiation: CuKα
Structure: the PBE geometry in Alexandria
Neutral-atom scattering factors, no anomalous dispersion.

Largest 12 diffraction maxima, in order of falling intensity, 15 to 90 degrees two-theta:
two_theta  intensity
34.36  100
34.00  95
35.25  56
30.97  32
50.05  27
52.97  27
29.98  24
55.90  20
54.22  17
68.71  15
55.10  13
23.29  12

Atomic structure:
```
data_Pm5Ge3F
_chemical_formula_sum 'Pm10 Ge6 F2'
_space_group_name_H-M_alt 'P 1'
_space_group_IT_number 1
_cell_length_a 8.820
_cell_length_b 8.820
_cell_length_c 6.475
_cell_angle_alpha 90.00
_cell_angle_beta 90.00
_cell_angle_gamma 120.00
loop_
_space_group_symop_operation_xyz
'x,y,z'
loop_
_atom_site_label
_atom_site_type_symbol
_atom_site_fract_x
_atom_site_fract_y
_atom_site_fract_z
Pm1 Pm 0.000 0.251 0.250
Pm2 Pm 0.000 0.749 0.750
Pm3 Pm 0.251 0.000 0.250
Pm4 Pm 0.251 0.251 0.750
Pm5 Pm 0.333 0.667 0.000
Pm6 Pm 0.333 0.667 0.500
Pm7 Pm 0.667 0.333 0.000
Pm8 Pm 0.667 0.333 0.500
Pm9 Pm 0.749 0.000 0.750
Pm10 Pm 0.749 0.749 0.250
Ge1 Ge 0.000 0.389 0.750
Ge2 Ge 0.000 0.611 0.250
Ge3 Ge 0.389 0.000 0.750
Ge4 Ge 0.389 0.389 0.250
Ge5 Ge 0.611 0.000 0.250
Ge6 Ge 0.611 0.611 0.750
F1 F 0.000 0.000 0.000
F2 F 0.000 0.000 0.500
```

=====

3.
Calculated X-ray diffraction stick pattern
Compound: NiAgSn6
Radiation: CuKα
Structure: the PBE geometry in Alexandria
Neutral-atom scattering factors, no anomalous dispersion.

Largest 12 diffraction maxima, in order of falling intensity, 15 to 90 degrees two-theta:
two_theta  intensity
32.03  100
43.36  36
26.98  28
33.62  23
48.41  20
58.26  18
42.77  16
32.95  16
43.89  16
63.71  14
32.21  11
51.18  10

Atomic structure:
```
data_NiAgSn6
_chemical_formula_sum 'Ni1 Ag1 Sn6'
_space_group_name_H-M_alt 'P 1'
_space_group_IT_number 1
_cell_length_a 6.611
_cell_length_b 6.611
_cell_length_c 6.611
_cell_angle_alpha 59.03
_cell_angle_beta 59.03
_cell_angle_gamma 59.03
loop_
_space_group_symop_operation_xyz
'x,y,z'
loop_
_atom_site_label
_atom_site_type_symbol
_atom_site_fract_x
_atom_site_fract_y
_atom_site_fract_z
Ni1 Ni 0.000 0.000 0.000
Ag1 Ag 0.500 0.500 0.500
Sn1 Sn 0.009 0.785 0.448
Sn2 Sn 0.215 0.552 0.991
Sn3 Sn 0.448 0.009 0.785
Sn4 Sn 0.552 0.991 0.215
Sn5 Sn 0.785 0.448 0.009
Sn6 Sn 0.991 0.215 0.552
```

=====

4.
Calculated X-ray diffraction stick pattern
Compound: K4CePm3Te8
Radiation: CuKα
Structure: the PBE geometry in Alexandria
Neutral-atom scattering factors, no anomalous dispersion.

Largest 12 diffraction maxima, in order of falling intensity, 15 to 90 degrees two-theta:
two_theta  intensity
26.57  100
39.07  37
36.75  36
47.87  20
63.43  17
33.87  16
60.21  12
54.72  11
69.26  11
46.33  10
40.63  9
89.98  9

Atomic structure:
```
data_K4CePm3Te8
_chemical_formula_sum 'K4 Ce1 Pm3 Te8'
_space_group_name_H-M_alt 'P 1'
_space_group_IT_number 1
_cell_length_a 9.817
_cell_length_b 9.817
_cell_length_c 9.817
_cell_angle_alpha 56.04
_cell_angle_beta 56.04
_cell_angle_gamma 56.04
loop_
_space_group_symop_operation_xyz
'x,y,z'
loop_
_atom_site_label
_atom_site_type_symbol
_atom_site_fract_x
_atom_site_fract_y
_atom_site_fract_z
K1 K 0.000 0.000 0.000
K2 K 0.000 0.500 0.500
K3 K 0.500 0.000 0.500
K4 K 0.500 0.500 0.000
Ce1 Ce 0.500 0.500 0.500
Pm1 Pm 0.000 0.000 0.500
Pm2 Pm 0.000 0.500 0.000
Pm3 Pm 0.500 0.000 0.000
Te1 Te 0.235 0.739 0.739
Te2 Te 0.238 0.238 0.238
Te3 Te 0.261 0.261 0.765
Te4 Te 0.261 0.765 0.261
Te5 Te 0.739 0.235 0.739
Te6 Te 0.739 0.739 0.235
Te7 Te 0.762 0.762 0.762
Te8 Te 0.765 0.261 0.261
```

=====

5.
Calculated X-ray diffraction stick pattern
Compound: BaZnBi4O8
Radiation: CuKα
Structure: the PBE geometry in Alexandria
Neutral-atom scattering factors, no anomalous dispersion.

Largest 12 diffraction maxima, in order of falling intensity, 15 to 90 degrees two-theta:
two_theta  intensity
28.48  100
29.04  55
50.79  27
50.44  25
41.13  25
37.48  23
23.85  18
57.50  17
46.62  15
16.33  14
58.94  14
81.21  12

Atomic structure:
```
data_BaZnBi4O8
_chemical_formula_sum 'Ba1 Zn1 Bi4 O8'
_space_group_name_H-M_alt 'P 1'
_space_group_IT_number 1
_cell_length_a 6.268
_cell_length_b 6.268
_cell_length_c 7.461
_cell_angle_alpha 90.00
_cell_angle_beta 90.00
_cell_angle_gamma 120.00
loop_
_space_group_symop_operation_xyz
'x,y,z'
loop_
_atom_site_label
_atom_site_type_symbol
_atom_site_fract_x
_atom_site_fract_y
_atom_site_fract_z
Ba1 Ba 0.000 0.000 0.000
Zn1 Zn 0.000 0.000 0.500
Bi1 Bi 0.333 0.667 0.282
Bi2 Bi 0.333 0.667 0.718
Bi3 Bi 0.667 0.333 0.282
Bi4 Bi 0.667 0.333 0.718
O1 O 0.000 0.277 0.304
O2 O 0.000 0.723 0.696
O3 O 0.277 0.000 0.304
O4 O 0.277 0.277 0.696
O5 O 0.333 0.667 0.000
O6 O 0.667 0.333 0.000
O7 O 0.723 0.000 0.696
O8 O 0.723 0.723 0.304
```

=====

6.
Calculated X-ray diffraction stick pattern
Compound: KIn2F7
Radiation: CuKα
Structure: the PBE geometry in Alexandria
Neutral-atom scattering factors, no anomalous dispersion.

Largest 12 diffraction maxima, in order of falling intensity, 15 to 90 degrees two-theta:
two_theta  intensity
26.41  100
21.38  81
27.65  71
16.09  66
26.88  53
48.68  42
47.36  30
43.56  29
38.02  29
52.38  27
43.19  21
66.30  20

Atomic structure:
```
data_KIn2F7
_chemical_formula_sum 'K4 In8 F28'
_space_group_name_H-M_alt 'P 1'
_space_group_IT_number 1
_cell_length_a 6.754
_cell_length_b 8.311
_cell_length_c 11.015
_cell_angle_alpha 90.00
_cell_angle_beta 90.00
_cell_angle_gamma 90.00
loop_
_space_group_symop_operation_xyz
'x,y,z'
loop_
_atom_site_label
_atom_site_type_symbol
_atom_site_fract_x
_atom_site_fract_y
_atom_site_fract_z
K1 K 0.250 0.250 0.250
K2 K 0.250 0.750 0.250
K3 K 0.750 0.250 0.750
K4 K 0.750 0.750 0.750
In1 In 0.250 0.003 0.558
In2 In 0.250 0.003 0.942
In3 In 0.250 0.497 0.558
In4 In 0.250 0.497 0.942
In5 In 0.750 0.503 0.058
In6 In 0.750 0.503 0.442
In7 In 0.750 0.997 0.058
In8 In 0.750 0.997 0.442
F1 F 0.061 0.520 0.106
F2 F 0.061 0.521 0.395
F3 F 0.061 0.979 0.395
F4 F 0.061 0.980 0.106
F5 F 0.250 0.047 0.750
F6 F 0.250 0.250 0.511
F7 F 0.250 0.250 0.989
F8 F 0.250 0.453 0.750
F9 F 0.250 0.750 0.585
F10 F 0.250 0.750 0.916
F11 F 0.439 0.520 0.106
F12 F 0.439 0.521 0.395
F13 F 0.439 0.979 0.395
F14 F 0.439 0.980 0.106
F15 F 0.561 0.020 0.894
F16 F 0.561 0.021 0.605
F17 F 0.561 0.479 0.605
F18 F 0.561 0.480 0.894
F19 F 0.750 0.250 0.084
F20 F 0.750 0.250 0.415
F21 F 0.750 0.547 0.250
F22 F 0.750 0.750 0.011
F23 F 0.750 0.750 0.489
F24 F 0.750 0.953 0.250
F25 F 0.939 0.020 0.894
F26 F 0.939 0.021 0.605
F27 F 0.939 0.479 0.605
F28 F 0.939 0.480 0.894
```